This entry pairs a crystal structure of ScBeZnSi with its calculated powder X-ray diffraction pattern. Radiation: Cu Kα X-rays. Structure: a crystal structure in OQMD, relaxed with PBE.
Peak positions follow from Bragg's law for the DFT cell and can differ from measured ones.

Structural model:
Unit cell a=6.201 b=6.201 c=6.201 alpha=90.00 beta=90.00 gamma=90.00
Space group F-43m (No. 216)
Inequivalent atoms, fractional coordinates:
Sc 0.000 0.000 0.000
Be 0.000 0.000 0.500
Zn 0.250 0.250 0.250
Si 0.250 0.250 0.750

Largest 8 diffraction maxima, in order of rising 2θ, 5 to 70 degrees two-theta:
two_theta	d [Å]	I (rel.)	index
24.9	3.580	37	1 1 1
28.8	3.100	14	2 0 0
41.2	2.192	100	2 2 0
48.7	1.870	18	3 1 1
51.0	1.790	4	2 2 2
59.6	1.550	16	4 0 0
65.6	1.423	7	3 3 1
67.6	1.387	5	4 2 0